# TaZn2AgO6
Computed powder diffraction line list, λ = 1.5418 Å (Cu Kα). Input: a PBE-relaxed structure.

Largest 8 diffraction maxima, sorted by position, 2θ = 10–80°:
d = 4.428 Å, 2θ = 20.1°, intensity 19; d = 2.866 Å, 2θ = 31.2°, intensity 100; d = 2.774 Å, 2θ = 32.3°, intensity 47; d = 2.738 Å, 2θ = 32.7°, intensity 37; d = 2.570 Å, 2θ = 34.9°, intensity 67; d = 2.214 Å, 2θ = 40.8°, intensity 30; d = 1.686 Å, 2θ = 54.4°, intensity 20; d = 1.669 Å, 2θ = 55.0°, intensity 27

```
TaZn2AgO6
1.0
5.6211 0.0000 0.0000
0.0000 7.5199 0.0000
-1.2818 0.0000 5.5485
Ta Zn Ag O
2 4 2 12
direct
0.0000 0.0000 0.0000
0.0000 0.5000 0.0000
0.0341 0.2500 0.5550
0.4772 0.7500 0.9589
0.5228 0.2500 0.0411
0.9659 0.7500 0.4450
0.5000 0.0000 0.5000
0.5000 0.5000 0.5000
0.1462 0.7500 0.0493
0.1541 0.0620 0.3432
0.1541 0.4380 0.3432
0.2766 0.0764 0.8703
0.2766 0.4236 0.8703
0.3589 0.7500 0.5922
0.6411 0.2500 0.4078
0.7234 0.5764 0.1297
0.7234 0.9236 0.1297
0.8459 0.5620 0.6568
0.8459 0.9380 0.6568
0.8538 0.2500 0.9507
```